Structure and simulated powder diffractogram of Li3Nd2FeNi12 (a GGA-PBE-relaxed structure; Cu Kα X-rays).
Peak positions follow from Bragg's law for the DFT cell and can differ from measured ones.

Principal peaks in the range 2θ from 10° to 90°, sorted by position:
| d [Å] | two_theta | I/Imax | h k l |
| --- | --- | --- | --- |
| 8.635 | 10.24 | 42 | 0 0 3 |
| 2.793 | 32.05 | 69 | 1 1 3 |
| 2.437 | 36.89 | 57 | 1 1 6 |
| 2.378 | 37.84 | 100 | 0 2 4 |
| 2.311 | 38.98 | 43 | 1 0 10 |
| 2.139 | 42.25 | 30 | 0 1 11 |
| 2.006 | 45.19 | 30 | 2 0 8 |
| 1.585 | 58.20 | 33 | 3 0 6 |

Structural model:
```
data_Li3Nd2FeNi12
_chemical_formula_sum 'Li9 Nd6 Fe3 Ni36'
_cell_length_a 5.9031
_cell_length_b 5.9031
_cell_length_c 25.9055
_cell_angle_alpha 90.00
_cell_angle_beta 90.00
_cell_angle_gamma 120.00
_symmetry_space_group_name_H-M 'R -3 m'
_symmetry_Int_Tables_number 166
_symmetry_space_group_name_Hall '-R 3 2"'
loop_
_atom_site_label
_atom_site_type_symbol
_atom_site_fract_x
_atom_site_fract_y
_atom_site_fract_z
_atom_site_occupancy
Li1 Li 0.0000 0.5000 0.0000 1
Nd1 Nd 0.0000 0.0000 0.1487 1
Fe1 Fe 0.0000 0.0000 0.5000 1
Ni1 Ni 0.0469 0.5234 0.0974 1
Ni2 Ni 0.0698 0.5349 0.6173 1
```

Structure and simulated powder diffractogram of Ta3Cd (a GGA-PBE-relaxed structure; Cu Kα X-rays).
Peak positions follow from Bragg's law for the DFT cell and can differ from measured ones.

Principal peaks in the range 2θ from 10° to 90°, sorted by position:
| d [Å] | two_theta | I/Imax | h k l |
| --- | --- | --- | --- |
| 6.561 | 13.50 | 10 | 0 0 1 |
| 2.401 | 37.45 | 55 | 1 1 0 |
| 2.359 | 38.14 | 100 | 1 0 2 |
| 1.698 | 54.00 | 19 | 2 0 0 |
| 1.640 | 56.07 | 7 | 0 0 4 |
| 1.378 | 68.02 | 37 | 2 1 2 |
| 1.354 | 69.39 | 15 | 1 1 4 |
| 1.180 | 81.61 | 10 | 2 0 4 |

Structural model:
```
data_Ta3Cd
_chemical_formula_sum 'Ta3 Cd1'
_cell_length_a 3.3960
_cell_length_b 3.3960
_cell_length_c 6.5608
_cell_angle_alpha 90.00
_cell_angle_beta 90.00
_cell_angle_gamma 90.00
_symmetry_space_group_name_H-M 'P 4/m m m'
_symmetry_Int_Tables_number 123
_symmetry_space_group_name_Hall '-P 4 2'
loop_
_atom_site_label
_atom_site_type_symbol
_atom_site_fract_x
_atom_site_fract_y
_atom_site_fract_z
_atom_site_occupancy
Ta1 Ta 0.0000 0.0000 0.0000 1
Ta2 Ta 0.5000 0.5000 0.2266 1
Cd1 Cd 0.0000 0.0000 0.5000 1
```

Structure and simulated powder diffractogram of NaSn2P3O12 (a GGA-PBE-relaxed structure; Cu Kα X-rays).
Peak positions follow from Bragg's law for the DFT cell and can differ from measured ones.

Principal peaks in the range 2θ from 10° to 90°, sorted by position:
| d [Å] | two_theta | I/Imax | h k l |
| --- | --- | --- | --- |
| 6.294 | 14.07 | 35 | 1 1 0 |
| 4.616 | 19.23 | 35 | 0 1 -1 |
| 4.578 | 19.39 | 39 | 1 0 -1 |
| 4.532 | 19.59 | 45 | 1 1 2 |
| 4.307 | 20.62 | 100 | 1 -1 0 |
| 3.155 | 28.29 | 30 | 2 2 0 |
| 3.115 | 28.66 | 33 | 0 2 2 |
| 2.890 | 30.94 | 41 | 1 -1 2 |

Structural model:
```
data_NaSn2P3O12
_chemical_formula_sum 'Na2 Sn4 P6 O24'
_cell_length_a 8.6004
_cell_length_b 8.6054
_cell_length_c 9.1058
_cell_angle_alpha 63.00
_cell_angle_beta 62.46
_cell_angle_gamma 60.27
_symmetry_space_group_name_H-M 'P -1'
_symmetry_Int_Tables_number 2
loop_
_symmetry_equiv_pos_as_xyz
'x,y,z'
'-x,-y,-z'
loop_
_atom_site_label
_atom_site_type_symbol
_atom_site_fract_x
_atom_site_fract_y
_atom_site_fract_z
_atom_site_occupancy
Na1 Na 0.0247 0.3247 0.4548 1
Sn1 Sn 0.1456 0.6489 0.0634 1
Sn2 Sn 0.3571 0.8465 0.4460 1
P1 P 0.0419 0.9708 0.2427 1
P2 P 0.2482 0.4616 0.7484 1
P3 P 0.4630 0.2518 0.2511 1
O1 O 0.0260 0.1158 0.0680 1
O2 O 0.0999 0.4000 0.7582 1
O3 O 0.1130 0.7688 0.2339 1
O4 O 0.1510 0.0099 0.6109 1
O5 O 0.1792 0.9858 0.2959 1
O6 O 0.1984 0.4947 0.9188 1
O7 O 0.2318 0.6457 0.5938 1
O8 O 0.2674 0.3954 0.2281 1
O9 O 0.3815 0.7137 0.9199 1
O10 O 0.4465 0.3114 0.7167 1
O11 O 0.4705 0.0522 0.3019 1
O12 O 0.4745 0.2846 0.3991 1
```

Structure and simulated powder diffractogram of RbLaSiC4N8 (a GGA-PBE-relaxed structure; Cu Kα X-rays).
Peak positions follow from Bragg's law for the DFT cell and can differ from measured ones.

Principal peaks in the range 2θ from 10° to 90°, sorted by position:
| d [Å] | two_theta | I/Imax | h k l |
| --- | --- | --- | --- |
| 6.113 | 14.49 | 65 | 1 1 0 |
| 5.420 | 16.35 | 83 | 1 0 1 |
| 4.322 | 20.55 | 58 | 2 0 0 |
| 3.379 | 26.37 | 75 | 2 1 1 |
| 3.056 | 29.22 | 75 | 2 2 0 |
| 3.023 | 29.55 | 100 | 1 1 2 |
| 2.267 | 39.77 | 28 | 2 3 1 |
| 2.149 | 42.04 | 72 | 1 3 2 |

Structural model:
```
data_RbLaSiC4N8
_chemical_formula_sum 'Rb2 La2 Si2 C8 N16'
_cell_length_a 8.6446
_cell_length_b 8.6446
_cell_length_c 6.9572
_cell_angle_alpha 90.00
_cell_angle_beta 90.00
_cell_angle_gamma 90.00
_symmetry_space_group_name_H-M 'I -4'
_symmetry_Int_Tables_number 82
loop_
_symmetry_equiv_pos_as_xyz
'x,y,z'
'y,-x,-z'
'-x,-y,z'
'-y,x,-z'
'x+1/2,y+1/2,z+1/2'
'y+1/2,-x+1/2,-z+1/2'
'-x+1/2,-y+1/2,z+1/2'
'-y+1/2,x+1/2,-z+1/2'
loop_
_atom_site_label
_atom_site_type_symbol
_atom_site_fract_x
_atom_site_fract_y
_atom_site_fract_z
_atom_site_occupancy
Rb1 Rb 0.0000 0.0000 0.0000 1
La1 La 0.0000 0.5000 0.2500 1
Si1 Si 0.0000 0.5000 0.7500 1
C1 C 0.1924 0.2796 0.6333 1
N1 N 0.0993 0.6160 0.9097 1
N2 N 0.1668 0.7328 0.3311 1
```

Structure and simulated powder diffractogram of SrSbPb2 (a GGA-PBE-relaxed structure; Cu Kα X-rays).
Peak positions follow from Bragg's law for the DFT cell and can differ from measured ones.

Principal peaks in the range 2θ from 10° to 90°, sorted by position:
| d [Å] | two_theta | I/Imax | h k l |
| --- | --- | --- | --- |
| 4.627 | 19.18 | 20 | 2 0 0 |
| 3.271 | 27.26 | 100 | 2 2 0 |
| 2.946 | 30.34 | 95 | 1 1 2 |
| 2.392 | 37.61 | 20 | 3 2 1 |
| 2.313 | 38.93 | 33 | 4 0 0 |
| 2.189 | 41.23 | 69 | 3 1 2 |
| 1.554 | 59.48 | 25 | 2 0 4 |
| 1.290 | 73.40 | 19 | 4 2 4 |

Structural model:
```
data_SrSbPb2
_chemical_formula_sum 'Sr4 Sb4 Pb8'
_cell_length_a 9.2531
_cell_length_b 9.2531
_cell_length_c 6.5996
_cell_angle_alpha 90.00
_cell_angle_beta 90.00
_cell_angle_gamma 90.00
_symmetry_space_group_name_H-M 'I -4 2 d'
_symmetry_Int_Tables_number 122
_symmetry_space_group_name_Hall 'I -4 2bw'
loop_
_atom_site_label
_atom_site_type_symbol
_atom_site_fract_x
_atom_site_fract_y
_atom_site_fract_z
_atom_site_occupancy
Sr1 Sr 0.0000 0.0000 0.0000 1
Sb1 Sb 0.0000 0.0000 0.5000 1
Pb1 Pb 0.2097 0.7500 0.6250 1
```

Structure and simulated powder diffractogram of CsHg2F (a GGA-PBE-relaxed structure; Cu Kα X-rays).
Peak positions follow from Bragg's law for the DFT cell and can differ from measured ones.

Principal peaks in the range 2θ from 10° to 90°, sorted by position:
| d [Å] | two_theta | I/Imax | h k l |
| --- | --- | --- | --- |
| 3.219 | 27.71 | 99 | 1 0 -3 |
| 2.996 | 29.82 | 100 | 1 1 0 |
| 2.793 | 32.05 | 68 | 1 0 4 |
| 2.432 | 36.96 | 22 | 1 0 5 |
| 2.119 | 42.67 | 41 | 2 0 0 |
| 1.770 | 51.65 | 37 | 2 1 -3 |
| 1.688 | 54.36 | 31 | 2 1 4 |
| 1.340 | 70.25 | 17 | 3 1 0 |

Structural model:
```
data_CsHg2F
_chemical_formula_sum 'Cs2 Hg4 F2'
_cell_length_a 4.2358
_cell_length_b 4.2384
_cell_length_c 14.8525
_cell_angle_alpha 90.00
_cell_angle_beta 90.11
_cell_angle_gamma 90.00
_symmetry_space_group_name_H-M 'P 1 21 1'
_symmetry_Int_Tables_number 4
loop_
_symmetry_equiv_pos_as_xyz
'x,y,z'
'-x,y+1/2,-z'
loop_
_atom_site_label
_atom_site_type_symbol
_atom_site_fract_x
_atom_site_fract_y
_atom_site_fract_z
_atom_site_occupancy
Cs1 Cs 0.2490 0.0000 0.3944 1
Hg1 Hg 0.2467 0.0043 0.0667 1
Hg2 Hg 0.2534 0.0036 0.8159 1
F1 F 0.2506 0.9999 0.5932 1
```

Structure and simulated powder diffractogram of Tl4GaF6 (a GGA-PBE-relaxed structure; Cu Kα X-rays).
Peak positions follow from Bragg's law for the DFT cell and can differ from measured ones.

Principal peaks in the range 2θ from 10° to 90°, sorted by position:
| d [Å] | two_theta | I/Imax | h k l |
| --- | --- | --- | --- |
| 4.268 | 20.81 | 48 | 0 0 2 |
| 3.465 | 25.71 | 77 | 2 1 0 |
| 2.869 | 31.18 | 29 | 2 0 2 |
| 2.690 | 33.31 | 100 | 2 1 2 |
| 2.450 | 36.68 | 23 | 3 1 0 |
| 1.817 | 50.21 | 26 | 2 1 4 |
| 1.720 | 53.26 | 25 | 4 1 2 |
| 1.679 | 54.66 | 23 | 3 3 2 |

Structural model:
```
data_Tl4GaF6
_chemical_formula_sum 'Tl8 Ga2 F12'
_cell_length_a 7.7484
_cell_length_b 7.7484
_cell_length_c 8.5355
_cell_angle_alpha 90.00
_cell_angle_beta 90.00
_cell_angle_gamma 90.00
_symmetry_space_group_name_H-M 'P 4/m n c'
_symmetry_Int_Tables_number 128
_symmetry_space_group_name_Hall '-P 4 2n'
loop_
_atom_site_label
_atom_site_type_symbol
_atom_site_fract_x
_atom_site_fract_y
_atom_site_fract_z
_atom_site_occupancy
Tl1 Tl 0.1700 0.3300 0.2500 1
Ga1 Ga 0.0000 0.0000 0.0000 1
F1 F 0.0000 0.0000 0.2279 1
F2 F 0.0991 0.7706 0.0000 1
```

Structure and simulated powder diffractogram of Rb2UBr4Cl2 (a GGA-PBE-relaxed structure; Cu Kα X-rays).
Peak positions follow from Bragg's law for the DFT cell and can differ from measured ones.

Principal peaks in the range 2θ from 10° to 90°, sorted by position:
| d [Å] | two_theta | I/Imax | h k l |
| --- | --- | --- | --- |
| 6.750 | 13.12 | 35 | 1 1 0 |
| 6.479 | 13.67 | 71 | 0 0 1 |
| 4.522 | 19.63 | 45 | 1 1 1 |
| 3.784 | 23.51 | 34 | 3 1 0 |
| 3.085 | 28.94 | 100 | 2 2 -1 |
| 2.751 | 32.55 | 40 | 4 0 1 |
| 2.425 | 37.07 | 40 | 2 2 -2 |
| 1.892 | 48.09 | 33 | 6 2 0 |

Structural model:
```
data_Rb2UBr4Cl2
_chemical_formula_sum 'Rb4 U2 Br8 Cl4'
_cell_length_a 13.0440
_cell_length_b 7.9149
_cell_length_c 6.5510
_cell_angle_alpha 90.00
_cell_angle_beta 97.78
_cell_angle_gamma 90.00
_symmetry_space_group_name_H-M 'C 1 2/m 1'
_symmetry_Int_Tables_number 12
loop_
_symmetry_equiv_pos_as_xyz
'x,y,z'
'-x,-y,-z'
'-x,y,-z'
'x,-y,z'
'x+1/2,y+1/2,z'
'-x+1/2,-y+1/2,-z'
'-x+1/2,y+1/2,-z'
'x+1/2,-y+1/2,z'
loop_
_atom_site_label
_atom_site_type_symbol
_atom_site_fract_x
_atom_site_fract_y
_atom_site_fract_z
_atom_site_occupancy
Rb1 Rb 0.1644 0.0000 0.2698 1
U1 U 0.0000 0.5000 0.0000 1
Br1 Br 0.0958 0.2460 0.7951 1
Cl1 Cl 0.1563 0.5000 0.2915 1
```

Structure and simulated powder diffractogram of Pm8Sm3Mg2 (a GGA-PBE-relaxed structure; Cu Kα X-rays).
Peak positions follow from Bragg's law for the DFT cell and can differ from measured ones.

Principal peaks in the range 2θ from 10° to 90°, sorted by position:
| d [Å] | two_theta | I/Imax | h k l |
| --- | --- | --- | --- |
| 3.254 | 27.41 | 26 | 0 2 1 |
| 3.028 | 29.50 | 37 | 2 0 0 |
| 2.879 | 31.07 | 100 | 1 0 -3 |
| 2.869 | 31.18 | 23 | 2 0 1 |
| 2.815 | 31.79 | 34 | 1 0 3 |
| 2.797 | 32.00 | 29 | 0 2 2 |
| 2.683 | 33.40 | 42 | -2 2 1 |
| 2.584 | 34.71 | 25 | 1 2 -1 |

Structural model:
```
data_Pm8Sm3Mg2
_chemical_formula_sum 'Pm8 Sm3 Mg2'
_cell_length_a 6.4201
_cell_length_b 7.3806
_cell_length_c 9.6699
_cell_angle_alpha 90.79
_cell_angle_beta 91.11
_cell_angle_gamma 109.32
_symmetry_space_group_name_H-M 'P -1'
_symmetry_Int_Tables_number 2
loop_
_symmetry_equiv_pos_as_xyz
'x,y,z'
'-x,-y,-z'
loop_
_atom_site_label
_atom_site_type_symbol
_atom_site_fract_x
_atom_site_fract_y
_atom_site_fract_z
_atom_site_occupancy
Pm1 Pm 0.0386 0.3763 0.3524 1
Pm2 Pm 0.0424 0.8715 0.3234 1
Pm3 Pm 0.4028 0.9724 0.8226 1
Pm4 Pm 0.4369 0.4751 0.8086 1
Sm1 Sm 0.0000 0.5000 0.0000 1
Sm2 Sm 0.4883 0.2427 0.5008 1
Mg1 Mg 0.1720 0.1561 0.0617 1
```

Structure and simulated powder diffractogram of KLaTlZn2 (a GGA-PBE-relaxed structure; Cu Kα X-rays).
Peak positions follow from Bragg's law for the DFT cell and can differ from measured ones.

Principal peaks in the range 2θ from 10° to 90°, sorted by position:
| d [Å] | two_theta | I/Imax | h k l |
| --- | --- | --- | --- |
| 3.925 | 22.65 | 100 | 1 0 1 |
| 3.730 | 23.86 | 28 | 1 1 0 |
| 2.938 | 30.43 | 38 | 0 0 2 |
| 2.637 | 33.99 | 56 | 2 0 0 |
| 2.189 | 41.24 | 43 | 2 1 1 |
| 1.962 | 46.26 | 48 | 2 0 2 |
| 1.865 | 48.84 | 20 | 2 2 0 |
| 1.574 | 58.64 | 25 | 2 2 2 |

Structural model:
```
data_KLaTlZn2
_chemical_formula_sum 'K1 La1 Tl1 Zn2'
_cell_length_a 5.2744
_cell_length_b 5.2744
_cell_length_c 5.8759
_cell_angle_alpha 90.00
_cell_angle_beta 90.00
_cell_angle_gamma 90.00
_symmetry_space_group_name_H-M 'P 4/m m m'
_symmetry_Int_Tables_number 123
_symmetry_space_group_name_Hall '-P 4 2'
loop_
_atom_site_label
_atom_site_type_symbol
_atom_site_fract_x
_atom_site_fract_y
_atom_site_fract_z
_atom_site_occupancy
K1 K 0.0000 0.0000 0.0000 1
La1 La 0.5000 0.5000 0.0000 1
Tl1 Tl 0.0000 0.0000 0.5000 1
Zn1 Zn 0.0000 0.5000 0.5000 1
```

Structure and simulated powder diffractogram of Pm4RuC (a GGA-PBE-relaxed structure; Cu Kα X-rays).
Peak positions follow from Bragg's law for the DFT cell and can differ from measured ones.

Principal peaks in the range 2θ from 10° to 90°, sorted by position:
| d [Å] | two_theta | I/Imax | h k l |
| --- | --- | --- | --- |
| 4.560 | 19.47 | 20 | 2 0 0 |
| 3.224 | 27.67 | 25 | 2 2 0 |
| 3.000 | 29.78 | 100 | 2 0 2 |
| 2.884 | 31.01 | 46 | 3 1 0 |
| 2.336 | 38.54 | 27 | 3 1 2 |
| 2.280 | 39.53 | 18 | 4 0 0 |
| 1.892 | 48.10 | 40 | 3 3 2 |
| 1.564 | 59.07 | 17 | 5 3 0 |

Structural model:
```
data_Pm4RuC
_chemical_formula_sum 'Pm16 Ru4 C4'
_cell_length_a 9.1196
_cell_length_b 9.1196
_cell_length_c 7.9682
_cell_angle_alpha 90.00
_cell_angle_beta 90.00
_cell_angle_gamma 90.00
_symmetry_space_group_name_H-M 'I 41 m d'
_symmetry_Int_Tables_number 109
_symmetry_space_group_name_Hall 'I 4bw -2'
loop_
_atom_site_label
_atom_site_type_symbol
_atom_site_fract_x
_atom_site_fract_y
_atom_site_fract_z
_atom_site_occupancy
Pm1 Pm 0.0000 0.3031 0.0000 1
Pm2 Pm 0.0000 0.3106 0.4692 1
Ru1 Ru 0.0000 0.0000 0.4839 1
C1 C 0.0000 0.0000 0.9785 1
```

Structure and simulated powder diffractogram of Fe2NiRh3 (a GGA-PBE-relaxed structure; Cu Kα X-rays).
Peak positions follow from Bragg's law for the DFT cell and can differ from measured ones.

Principal peaks in the range 2θ from 10° to 90°, sorted by position:
| d [Å] | two_theta | I/Imax | h k l |
| --- | --- | --- | --- |
| 2.536 | 35.39 | 25 | 2 1 3 |
| 2.497 | 35.97 | 32 | 3 0 1 |
| 2.273 | 39.65 | 23 | 2 0 4 |
| 2.231 | 40.43 | 50 | 3 1 2 |
| 2.164 | 41.73 | 53 | 1 0 5 |
| 2.116 | 42.72 | 42 | 3 0 3 |
| 2.094 | 43.21 | 100 | 3 2 1 |
| 1.956 | 46.42 | 60 | 2 2 4 |

Structural model:
```
data_Fe2NiRh3
_chemical_formula_sum 'Fe16 Ni8 Rh24'
_cell_length_a 7.6818
_cell_length_b 7.6818
_cell_length_c 11.2794
_cell_angle_alpha 90.00
_cell_angle_beta 90.00
_cell_angle_gamma 90.00
_symmetry_space_group_name_H-M 'I 41/a m d'
_symmetry_Int_Tables_number 141
loop_
_symmetry_equiv_pos_as_xyz
'x,y,z'
'-x,-y,-z'
'-y+1/4,x+3/4,z+1/4'
'y+1/4,-x+3/4,-z+1/4'
'-x+1/2,-y,z+1/2'
'x+1/2,y,-z+1/2'
'y+1/4,-x+1/4,z+3/4'
'-y+1/4,x+1/4,-z+3/4'
'x,-y,-z'
'-x,y,z'
'-y+1/4,-x+1/4,-z+3/4'
'y+1/4,x+1/4,z+3/4'
'-x+1/2,y,-z+1/2'
'x+1/2,-y,z+1/2'
'y+1/4,x+3/4,-z+1/4'
'-y+1/4,-x+3/4,z+1/4'
'x+1/2,y+1/2,z+1/2'
'-x+1/2,-y+1/2,-z+1/2'
'-y+3/4,x+1/4,z+3/4'
'y+3/4,-x+1/4,-z+3/4'
'-x,-y+1/2,z'
'x,y+1/2,-z'
'y+3/4,-x+3/4,z+1/4'
'-y+3/4,x+3/4,-z+1/4'
'x+1/2,-y+1/2,-z+1/2'
'-x+1/2,y+1/2,z+1/2'
'-y+3/4,-x+3/4,-z+1/4'
'y+3/4,x+3/4,z+1/4'
'-x,y+1/2,-z'
'x,-y+1/2,z'
'y+3/4,x+1/4,-z+3/4'
'-y+3/4,-x+1/4,z+3/4'
loop_
_atom_site_label
_atom_site_type_symbol
_atom_site_fract_x
_atom_site_fract_y
_atom_site_fract_z
_atom_site_occupancy
Fe1 Fe 0.0000 0.0626 0.2883 1
Ni1 Ni 0.0000 0.2500 0.0756 1
Rh1 Rh 0.0000 0.0000 0.5000 1
Rh2 Rh 0.1859 0.0641 0.8750 1
```